1.
Starting from the PBE+U geometry in the Materials Project, the X-ray powder pattern of Ca4Al6WO16 was calculated for a wavelength of 1.5418 Å.
Intensities are scaled so that the largest is 1000.

Structure:
Cell: 8.136 8.136 8.136 Å, 110.31 110.31 107.80°
Fractional positions:
Ca: 0.200 0.735 0.962
Ca: 0.265 0.227 0.465
Ca: 0.762 0.800 0.535
Ca: 0.773 0.238 0.038
Al: 0.000 0.000 0.000
Al: 0.245 0.504 0.236
Al: 0.268 0.009 0.764
Al: 0.496 0.732 0.741
Al: 0.500 0.500 0.000
Al: 0.991 0.755 0.259
W: 0.750 0.250 0.500
O: 0.042 0.554 0.186
O: 0.053 0.875 0.130
O: 0.077 0.947 0.821
O: 0.125 0.255 0.179
O: 0.144 0.958 0.512
O: 0.345 0.563 0.090
O: 0.368 0.856 0.814
O: 0.437 0.528 0.782
O: 0.446 0.632 0.488
O: 0.472 0.255 0.910
O: 0.480 0.140 0.342
O: 0.745 0.655 0.218
O: 0.745 0.923 0.870
O: 0.798 0.138 0.658
O: 0.860 0.202 0.340
O: 0.862 0.520 0.660

Principal peaks in the range 2θ = 10–90°, by angle:
- d 6.674, rel. 274
- d 3.873, rel. 505
- d 3.814, rel. 1000
- d 3.337, rel. 281
- d 2.534, rel. 152
- d 2.506, rel. 158
- d 2.324, rel. 136
- d 2.194, rel. 159
- d 2.007, rel. 143
- d 1.907, rel. 128

2.
Starting from the PBE+U geometry in the Materials Project, the X-ray powder pattern of Mn3Fe2Co3O16 was calculated for a wavelength of 1.5418 Å.
Intensities are scaled so that the largest is 1000.

Structure:
Cell: 5.699 5.700 9.081 Å, 88.79 88.83 60.21°
Fractional positions:
Mn: 0.000 0.000 0.000
Mn: 0.165 0.665 0.498
Mn: 0.661 0.169 0.498
Fe: 0.164 0.167 0.276
Fe: 0.498 0.499 0.778
Co: 0.497 0.998 0.995
Co: 0.664 0.668 0.493
Co: 0.997 0.499 0.994
O: 0.157 0.667 0.889
O: 0.166 0.168 0.889
O: 0.308 0.312 0.114
O: 0.317 0.870 0.119
O: 0.348 0.351 0.622
O: 0.357 0.793 0.617
O: 0.498 0.502 0.388
O: 0.507 0.992 0.388
O: 0.666 0.158 0.889
O: 0.671 0.673 0.894
O: 0.791 0.360 0.617
O: 0.827 0.831 0.603
O: 0.828 0.829 0.102
O: 0.870 0.317 0.119
O: 0.987 0.512 0.389
O: 0.994 0.998 0.383

Principal peaks in the range 2θ = 10–90°, by angle:
- d 4.539, rel. 1000
- d 4.369, rel. 762
- d 4.322, rel. 433
- d 2.436, rel. 230
- d 2.419, rel. 220
- d 2.393, rel. 574
- d 2.379, rel. 238
- d 1.926, rel. 259
- d 1.904, rel. 239
- d 1.425, rel. 326

3.
Starting from the PBE+U geometry in the Materials Project, the X-ray powder pattern of La2WO6 was calculated for a wavelength of 1.5418 Å.
Intensities are scaled so that the largest is 1000.

Structure:
Cell: 10.345 10.345 5.681 Å, 104.10 104.10 68.90°
Fractional positions:
La: 0.060 0.290 0.888
La: 0.111 0.889 0.750
La: 0.290 0.060 0.388
La: 0.369 0.631 0.250
La: 0.631 0.369 0.750
La: 0.710 0.940 0.612
La: 0.889 0.111 0.250
La: 0.940 0.710 0.112
W: 0.200 0.496 0.564
W: 0.496 0.200 0.064
W: 0.504 0.800 0.936
W: 0.800 0.504 0.436
O: 0.067 0.473 0.277
O: 0.079 0.107 0.078
O: 0.107 0.079 0.578
O: 0.163 0.680 0.420
O: 0.173 0.616 0.867
O: 0.218 0.326 0.646
O: 0.320 0.837 0.080
O: 0.326 0.218 0.146
O: 0.382 0.457 0.523
O: 0.384 0.827 0.633
O: 0.457 0.382 0.023
O: 0.473 0.067 0.777
O: 0.527 0.933 0.223
O: 0.543 0.618 0.977
O: 0.616 0.173 0.367
O: 0.618 0.543 0.477
O: 0.674 0.782 0.854
O: 0.680 0.163 0.920
O: 0.782 0.674 0.354
O: 0.827 0.384 0.133
O: 0.837 0.320 0.580
O: 0.893 0.921 0.422
O: 0.921 0.893 0.922
O: 0.933 0.527 0.723

Principal peaks in the range 2θ = 10–90°, by angle:
- d 3.305, rel. 1000
- d 3.217, rel. 817
- d 2.926, rel. 220
- d 2.838, rel. 208
- d 2.717, rel. 169
- d 2.037, rel. 251
- d 2.002, rel. 195
- d 1.991, rel. 233
- d 1.728, rel. 147
- d 1.673, rel. 137

4.
Starting from the PBE+U geometry in the Materials Project, the X-ray powder pattern of Cr2Fe3P6WO24 was calculated for a wavelength of 1.5418 Å.
Intensities are scaled so that the largest is 1000.

Structure:
Cell: 8.692 8.692 8.692 Å, 59.95 59.95 59.95°
Fractional positions:
Cr: 0.000 0.000 0.000
Cr: 0.496 0.496 0.496
Fe: 0.146 0.146 0.146
Fe: 0.355 0.355 0.355
Fe: 0.855 0.855 0.855
P: 0.047 0.455 0.753
P: 0.245 0.963 0.545
P: 0.455 0.753 0.047
P: 0.545 0.245 0.963
P: 0.753 0.047 0.455
P: 0.963 0.545 0.245
W: 0.644 0.644 0.644
O: 0.003 0.614 0.812
O: 0.055 0.262 0.915
O: 0.087 0.941 0.740
O: 0.116 0.507 0.310
O: 0.194 0.992 0.386
O: 0.236 0.441 0.587
O: 0.262 0.915 0.055
O: 0.310 0.116 0.507
O: 0.386 0.194 0.992
O: 0.414 0.766 0.564
O: 0.441 0.587 0.236
O: 0.496 0.691 0.885
O: 0.507 0.310 0.116
O: 0.564 0.414 0.766
O: 0.587 0.236 0.441
O: 0.614 0.812 0.003
O: 0.691 0.885 0.496
O: 0.740 0.087 0.941
O: 0.766 0.564 0.414
O: 0.812 0.003 0.614
O: 0.885 0.496 0.691
O: 0.915 0.055 0.262
O: 0.941 0.740 0.087
O: 0.992 0.386 0.194

Principal peaks in the range 2θ = 10–90°, by angle:
- d 7.095, rel. 258
- d 4.344, rel. 1000
- d 3.705, rel. 657
- d 2.819, rel. 171
- d 2.748, rel. 584
- d 2.508, rel. 411
- d 1.943, rel. 228
- d 1.852, rel. 237
- d 1.642, rel. 334
- d 1.490, rel. 237

5.
Starting from the PBE+U geometry in the Materials Project, the X-ray powder pattern of Li3V4O8 was calculated for a wavelength of 1.5418 Å.
Intensities are scaled so that the largest is 1000.

Structure:
Cell: 5.913 6.101 10.297 Å, 73.79 89.95 61.10°
Fractional positions:
Li: 0.000 0.000 0.000
Li: 0.064 0.864 0.353
Li: 0.282 0.432 0.427
Li: 0.495 0.000 0.501
Li: 0.569 0.863 0.853
Li: 0.783 0.432 0.926
V: 0.031 0.432 0.676
V: 0.032 0.431 0.176
V: 0.033 0.932 0.677
V: 0.289 0.433 0.926
V: 0.530 0.433 0.177
V: 0.531 0.932 0.177
V: 0.532 0.431 0.678
V: 0.775 0.433 0.426
O: 0.133 0.194 0.556
O: 0.168 0.195 0.054
O: 0.171 0.669 0.564
O: 0.197 0.634 0.064
O: 0.395 0.231 0.787
O: 0.402 0.200 0.290
O: 0.411 0.661 0.798
O: 0.421 0.668 0.295
O: 0.638 0.199 0.055
O: 0.655 0.204 0.554
O: 0.661 0.664 0.063
O: 0.669 0.631 0.565
O: 0.865 0.231 0.289
O: 0.893 0.195 0.790
O: 0.895 0.667 0.299
O: 0.933 0.667 0.800

Principal peaks in the range 2θ = 10–90°, by angle:
- d 5.064, rel. 500
- d 4.865, rel. 972
- d 2.615, rel. 188
- d 2.564, rel. 106
- d 2.557, rel. 173
- d 2.533, rel. 169
- d 2.127, rel. 1000
- d 1.530, rel. 100
- d 1.525, rel. 200
- d 1.484, rel. 194

6.
Starting from the PBE+U geometry in the Materials Project, the X-ray powder pattern of SrSmHfCrO6 was calculated for a wavelength of 1.5418 Å.
Intensities are scaled so that the largest is 1000.

Structure:
Cell: 5.668 5.668 5.668 Å, 60.00 60.00 60.00°
Fractional positions:
Sr: 0.000 0.000 0.000
Sm: 0.500 0.500 0.500
Hf: 0.750 0.750 0.750
Cr: 0.250 0.250 0.250
O: 0.004 0.004 0.496
O: 0.004 0.496 0.004
O: 0.004 0.496 0.496
O: 0.496 0.004 0.004
O: 0.496 0.004 0.496
O: 0.496 0.496 0.004

Principal peaks in the range 2θ = 10–90°, by angle:
- d 4.628, rel. 207
- d 2.834, rel. 1000
- d 2.417, rel. 129
- d 2.004, rel. 305
- d 1.839, rel. 62
- d 1.636, rel. 395
- d 1.543, rel. 45
- d 1.417, rel. 185
- d 1.268, rel. 171
- d 1.157, rel. 62

7.
Starting from the PBE+U geometry in the Materials Project, the X-ray powder pattern of MgCoBiO3 was calculated for a wavelength of 1.5418 Å.
Intensities are scaled so that the largest is 1000.

Structure:
Cell: 3.529 4.065 6.618 Å, 90.00 90.00 90.00°
Fractional positions:
Mg: 0.000 0.000 0.000
Co: 0.000 0.500 0.721
Bi: 0.500 0.000 0.423
O: 0.000 0.000 0.693
O: 0.000 0.500 0.015
O: 0.500 0.500 0.567

Principal peaks in the range 2θ = 10–90°, by angle:
- d 6.618, rel. 1000
- d 4.065, rel. 255
- d 3.464, rel. 690
- d 3.114, rel. 918
- d 2.665, rel. 400
- d 2.566, rel. 457
- d 2.472, rel. 469
- d 2.414, rel. 371
- d 2.075, rel. 237
- d 1.701, rel. 609

8.
Starting from the PBE+U geometry in the Materials Project, the X-ray powder pattern of Li9Mn2Co5O16 was calculated for a wavelength of 1.5418 Å.
Intensities are scaled so that the largest is 1000.

Structure:
Cell: 9.877 2.893 10.271 Å, 90.00 99.17 90.00°
Fractional positions:
Li: 0.000 0.000 0.000
Li: 0.001 0.000 0.488
Li: 0.003 0.500 0.743
Li: 0.511 0.500 0.495
Li: 0.517 0.000 0.242
Li: 0.519 0.000 0.745
Li: 0.527 0.500 0.005
Li: 0.760 0.000 0.119
Li: 0.994 0.500 0.234
Mn: 0.259 0.000 0.867
Mn: 0.759 0.000 0.619
Co: 0.256 0.500 0.121
Co: 0.257 0.000 0.372
Co: 0.264 0.500 0.617
Co: 0.752 0.500 0.347
Co: 0.766 0.500 0.890
O: 0.144 0.000 0.173
O: 0.149 0.000 0.694
O: 0.149 0.500 0.430
O: 0.149 0.500 0.924
O: 0.364 0.500 0.310
O: 0.367 0.000 0.047
O: 0.369 0.500 0.814
O: 0.382 0.000 0.562
O: 0.635 0.500 0.194
O: 0.639 0.000 0.923
O: 0.650 0.500 0.674
O: 0.652 0.000 0.442
O: 0.867 0.000 0.794
O: 0.870 0.500 0.563
O: 0.879 0.000 0.314
O: 0.881 0.500 0.044

Principal peaks in the range 2θ = 10–90°, by angle:
- d 4.875, rel. 1000
- d 2.535, rel. 133
- d 2.481, rel. 248
- d 2.115, rel. 268
- d 2.068, rel. 539
- d 1.916, rel. 127
- d 1.603, rel. 100
- d 1.485, rel. 142
- d 1.473, rel. 133
- d 1.446, rel. 72

9.
Starting from the PBE+U geometry in the Materials Project, the X-ray powder pattern of Li9Mn2Co5O16 was calculated for a wavelength of 1.5418 Å.
Intensities are scaled so that the largest is 1000.

Structure:
Cell: 5.917 6.466 8.589 Å, 83.00 70.56 66.19°
Fractional positions:
Li: 0.000 0.000 0.000
Li: 0.001 0.737 0.765
Li: 0.019 0.253 0.240
Li: 0.243 0.497 0.003
Li: 0.478 0.257 0.246
Li: 0.485 0.738 0.770
Li: 0.491 0.002 0.003
Li: 0.502 0.494 0.508
Li: 0.984 0.499 0.509
Mn: 0.247 0.744 0.250
Mn: 0.751 0.995 0.508
Co: 0.247 0.250 0.758
Co: 0.249 0.998 0.507
Co: 0.732 0.257 0.757
Co: 0.744 0.494 0.005
Co: 0.755 0.738 0.253
O: 0.103 0.776 0.499
O: 0.114 0.257 0.990
O: 0.125 0.511 0.260
O: 0.138 0.011 0.738
O: 0.357 0.988 0.272
O: 0.359 0.750 0.023
O: 0.361 0.482 0.752
O: 0.405 0.211 0.511
O: 0.590 0.527 0.254
O: 0.638 0.260 0.991
O: 0.638 0.758 0.490
O: 0.642 0.003 0.743
O: 0.844 0.734 0.025
O: 0.853 0.488 0.762
O: 0.861 0.236 0.514
O: 0.893 0.970 0.264

Principal peaks in the range 2θ = 10–90°, by angle:
- d 4.810, rel. 1000
- d 2.571, rel. 166
- d 2.445, rel. 234
- d 2.403, rel. 82
- d 2.372, rel. 73
- d 2.154, rel. 308
- d 2.031, rel. 252
- d 2.024, rel. 249
- d 1.479, rel. 74
- d 1.476, rel. 222